# 1
Diffraction record for LiVO2. The PXRD pattern is calculated, not measured: it uses a crystal structure in the Materials Project, relaxed with GGA+U and Cu Kα (λ = 1.5418 Å).

Structure:
```
LiVO2
1.0
5.207 -2.990 0.000
5.207 2.990 0.000
-1.577 0.000 4.826
Li V O
4 4 8
direct
0.123 0.375 0.250
0.375 0.123 0.750
0.625 0.877 0.250
0.877 0.625 0.750
0.121 0.879 0.250
0.386 0.614 0.750
0.614 0.386 0.250
0.879 0.121 0.750
0.016 0.756 0.506
0.244 0.984 0.994
0.254 0.512 0.003
0.488 0.746 0.497
0.512 0.254 0.503
0.746 0.488 0.997
0.756 0.016 0.006
0.984 0.244 0.494
```

Most intense lines, 2θ = 10–80°, low angle first:
17.9°, intensity 100
35.3°, intensity 27
36.0°, intensity 12
42.6°, intensity 60
43.5°, intensity 28
46.9°, intensity 9
55.9°, intensity 9
61.4°, intensity 8
61.8°, intensity 16
62.1°, intensity 8
63.1°, intensity 15
78.8°, intensity 7

# 2
Diffraction record for ZnWF5. The PXRD pattern is calculated, not measured: it uses a crystal structure in the Materials Project, relaxed with GGA+U and Cu Kα (λ = 1.5418 Å).

Structure:
```
ZnWF5
1.0
5.348 0.000 0.000
0.000 10.514 0.000
-2.645 0.000 7.622
Zn W F
4 4 20
direct
0.018 0.013 0.278
0.018 0.487 0.778
0.982 0.513 0.222
0.982 0.987 0.722
0.427 0.243 0.122
0.427 0.257 0.622
0.573 0.743 0.378
0.573 0.757 0.878
0.112 0.114 0.097
0.112 0.386 0.597
0.172 0.102 0.512
0.172 0.398 0.012
0.236 0.637 0.832
0.236 0.863 0.332
0.335 0.583 0.279
0.335 0.917 0.779
0.408 0.188 0.865
0.408 0.312 0.365
0.592 0.688 0.635
0.592 0.812 0.135
0.665 0.083 0.221
0.665 0.417 0.721
0.764 0.137 0.668
0.764 0.363 0.168
0.828 0.602 0.988
0.828 0.898 0.488
0.888 0.614 0.403
0.888 0.886 0.903
```

Most intense lines, 2θ = 10–80°, low angle first:
16.9°, intensity 23
17.6°, intensity 15
19.5°, intensity 22
24.4°, intensity 100
24.9°, intensity 59
25.7°, intensity 44
29.6°, intensity 16
35.6°, intensity 15
36.6°, intensity 14
44.2°, intensity 20
50.1°, intensity 22
51.0°, intensity 15

# 3
Diffraction record for Sr10Mg5Mo4WO30. The PXRD pattern is calculated, not measured: it uses a crystal structure in the Materials Project, relaxed with GGA+U and Cu Kα (λ = 1.5418 Å).

Structure:
```
Sr10Mg5Mo4WO30
1.0
5.645 0.000 0.000
2.821 4.905 0.000
2.822 1.448 23.164
Sr Mg Mo W O
10 5 4 1 30
direct
0.050 0.050 0.350
0.150 0.150 0.051
0.250 0.250 0.750
0.350 0.350 0.450
0.449 0.450 0.151
0.551 0.550 0.849
0.650 0.650 0.550
0.750 0.750 0.250
0.850 0.850 0.949
0.950 0.950 0.650
0.000 0.000 0.500
0.200 0.200 0.900
0.400 0.400 0.300
0.600 0.600 0.700
0.800 0.800 0.100
0.100 0.100 0.200
0.300 0.300 0.600
0.700 0.700 0.400
0.900 0.900 0.800
0.500 0.500 0.000
0.008 0.046 0.857
0.030 0.555 0.846
0.061 0.567 0.359
0.138 0.633 0.041
0.170 0.645 0.554
0.192 0.154 0.543
0.208 0.246 0.257
0.230 0.755 0.246
0.261 0.767 0.759
0.339 0.833 0.441
0.370 0.846 0.954
0.392 0.354 0.942
0.408 0.446 0.657
0.430 0.955 0.646
0.461 0.967 0.159
0.539 0.033 0.841
0.570 0.045 0.354
0.592 0.554 0.343
0.608 0.646 0.058
0.630 0.154 0.046
0.661 0.167 0.559
0.739 0.233 0.241
0.770 0.245 0.754
0.792 0.754 0.743
0.808 0.846 0.457
0.830 0.355 0.446
0.862 0.367 0.959
0.939 0.433 0.641
0.970 0.445 0.154
0.992 0.954 0.143
```

Most intense lines, 2θ = 10–80°, low angle first:
19.2°, intensity 38
31.5°, intensity 48
31.7°, intensity 100
45.1°, intensity 19
45.4°, intensity 35
56.2°, intensity 10
56.3°, intensity 26
56.4°, intensity 20
65.8°, intensity 10
66.0°, intensity 11
66.2°, intensity 10
75.3°, intensity 13